This entry pairs a crystal structure of AcDy8Er6 with its calculated powder diffractogram. Radiation: Cu Kα X-rays. Structure: a structure optimized by DFT (GGA-PBE).
Intensities are scaled so that the largest is 100.

Principal peaks in the range 2θ = 10–90°, low angle first:
2θ 30.67, I 20.6; 2θ 31.56, I 100.0; 2θ 32.34, I 30.6; 2θ 35.05, I 12.5; 2θ 36.98, I 12.8; 2θ 53.15, I 10.2

Crystal structure
abc: 8.9945 8.9945 20.7305
angles: 90.00 90.00 120.00
Space group R-3 (No. 148, hexagonal axes)
Inequivalent atoms, fractional coordinates:
Ac1 0.0000 0.0000 0.0000
Dy1 0.0000 0.0000 0.4230
Dy2 0.0798 0.5268 0.8088
Er1 0.0489 0.8091 0.7077